Simulated powder XRD pattern
Compound: CuI
Radiation: Cu Kα
Structure: a DFT-relaxed cell (GGA-PBE, the Materials Project)
Intensities are scaled so that the largest is 100.

a = 4.1678 Å, b = 4.1678 Å, c = 22.3724 Å
α = 90.00°, β = 90.00°, γ = 120.00°
Space group P3m1 (No. 156)
Unique sites:
Cu 0.0000 0.0000 0.0000
Cu 0.0000 0.0000 0.3332
Cu 0.0000 0.0000 0.6664
Cu 0.3333 0.6667 0.6027
Cu 0.3333 0.6667 0.9364
Cu 0.6667 0.3333 0.2695
I 0.0000 0.0000 0.2164
I 0.0000 0.0000 0.5496
I 0.0000 0.0000 0.8831
I 0.3333 0.6667 0.0532
I 0.3333 0.6667 0.7196
I 0.6667 0.3333 0.3865

The 8 most intense peaks (10° ≤ 2θ ≤ 90°), low angle first:
2θ = 11.87°, rel. 57, hkl 0 0 3
2θ = 23.86°, rel. 41, hkl 0 0 6
2θ = 24.99°, rel. 61, hkl 1 0 1
2θ = 25.94°, rel. 37, hkl 0 1 2
2θ = 27.45°, rel. 79, hkl 0 1 3
2θ = 34.59°, rel. 37, hkl 0 1 6
2θ = 43.42°, rel. 93, hkl 1 1 0
2θ = 44.24°, rel. 100, hkl 0 1 9